Record 1
Computed PXRD pattern of LaCuH2O4 for Cu Ka, from a crystal structure in Alexandria, relaxed with PBE.
Neutral-atom scattering factors, no anomalous dispersion.

Most intense lines, 2θ from 10° to 90°, in order of rising 2θ:
Position (°2θ)  I_rel
23.28  16
24.55  100
27.91  23
32.03  35
37.51  82
42.99  22
47.60  27
58.53  22
60.74  18
63.63  16

Atomic structure:
```
8
Lattice="-2.383 2.794 3.196 2.383 -2.794 3.196 2.383 2.794 -3.196" Properties=species:S:1:pos:R:3 pbc="T T T"
La 0.000 0.000 0.000
Cu 0.000 0.000 3.196
H 2.383 0.000 2.035
H 0.000 2.794 1.161
O 1.070 2.223 -1.210
O 1.313 0.572 1.986
O 1.313 -0.572 4.406
O 1.070 3.366 1.210
```



Record 2
Computed PXRD pattern of V6CrH8 for Cu Ka, from a crystal structure in Alexandria, relaxed with PBE.
Neutral-atom scattering factors, no anomalous dispersion.

Most intense lines, 2θ from 10° to 90°, in order of rising 2θ:
Position (°2θ)  I_rel
38.44  100
41.90  26
45.73  62
64.21  20
69.08  16
77.38  11
79.67  19
82.35  9
84.18  8

Atomic structure:
```
15
Lattice="3.838 2.216 2.156 -3.838 2.216 2.156 0.000 -4.432 2.156" Properties=species:S:1:pos:R:3 pbc="T T T"
V -2.148 -1.876 3.271
V -2.698 0.922 3.197
V 0.551 -2.798 3.197
V -0.551 2.798 3.271
V 2.698 -0.922 3.271
V 2.148 1.876 3.197
Cr 0.000 0.000 3.234
H -0.600 -1.673 2.180
H 0.000 0.000 1.452
H -1.149 1.357 2.180
H -1.749 -0.316 4.288
H 1.749 0.316 2.180
H 1.149 -1.357 4.288
H 0.000 0.000 5.016
H 0.600 1.673 4.288
```



Record 3
Computed PXRD pattern of Pm3Pu4S8 for Cu Ka, from a crystal structure in Alexandria, relaxed with PBE.
Neutral-atom scattering factors, no anomalous dispersion.

Most intense lines, 2θ from 10° to 90°, in order of rising 2θ:
Position (°2θ)  I_rel
13.58  23
26.18  15
27.37  86
31.70  100
45.45  73
53.86  37
56.47  26
75.25  17
75.33  17
83.93  13

Atomic structure:
```
15
Lattice="5.642 -5.645 0.000 5.642 5.645 0.000 -5.631 0.000 5.648" Properties=species:S:1:pos:R:3 pbc="T T T"
Pm 0.000 0.000 0.000
Pm 0.005 2.822 2.824
Pm 0.005 -2.822 2.824
Pu 2.821 2.822 0.000
Pu 2.821 -2.822 0.000
Pu 5.642 0.000 0.000
Pu 2.826 0.000 2.824
S 5.642 2.792 0.000
S 2.826 2.787 2.824
S 0.028 0.000 2.844
S 2.854 0.000 0.044
S 2.799 0.000 5.604
S 5.625 0.000 2.805
S 5.642 -2.792 0.000
S 2.826 -2.787 2.824
```



Record 4
Computed PXRD pattern of CePu5Rh6 for Cu Ka, from a crystal structure in Alexandria, relaxed with PBE.
Neutral-atom scattering factors, no anomalous dispersion.

Most intense lines, 2θ from 10° to 90°, in order of rising 2θ:
Position (°2θ)  I_rel
36.00  27
37.15  100
37.50  24
52.93  9
52.99  9
54.15  9
65.48  19
66.75  9
67.42  13
79.13  9

Atomic structure:
```
12
Lattice="4.796 0.000 0.000 -0.011 6.775 0.000 -2.385 -3.385 7.484" Properties=species:S:1:pos:R:3 pbc="T T T"
Ce 0.000 0.000 0.000
Pu -0.006 3.388 0.000
Pu -0.002 3.389 4.970
Pu 0.004 0.002 5.032
Pu 2.396 3.388 2.452
Pu 2.402 0.001 2.514
Rh 0.002 1.681 2.526
Rh -0.004 5.098 2.524
Rh 0.009 -1.691 7.483
Rh 2.391 5.081 0.001
Rh 2.405 -1.708 4.960
Rh 2.399 1.709 4.958
```



Record 5
Computed PXRD pattern of InBi3I for Cu Ka, from a crystal structure in Alexandria, relaxed with PBE.
Neutral-atom scattering factors, no anomalous dispersion.

Most intense lines, 2θ from 10° to 90°, in order of rising 2θ:
Position (°2θ)  I_rel
23.48  63
26.80  32
28.15  100
28.99  26
29.42  32
29.74  30
35.56  45
38.33  38
38.75  25
40.75  35

Atomic structure:
```
10
Lattice="7.151 0.000 0.000 0.000 6.945 0.000 -2.948 0.000 7.579" Properties=species:S:1:pos:R:3 pbc="T T T"
In 0.822 0.000 0.754
In 3.382 3.472 6.825
Bi -0.752 4.609 2.046
Bi 1.465 2.517 2.502
Bi 1.081 1.669 5.425
Bi 3.123 5.141 2.153
Bi 2.739 5.990 5.077
Bi 4.955 1.137 5.532
I -0.599 4.494 6.136
I 4.802 1.021 1.443
```



Record 6
Computed PXRD pattern of Li4HoTl4 for Cu Ka, from a crystal structure in Alexandria, relaxed with PBE.
Neutral-atom scattering factors, no anomalous dispersion.

Most intense lines, 2θ from 10° to 90°, in order of rising 2θ:
Position (°2θ)  I_rel
18.09  41
29.19  100
30.67  21
32.40  18
39.28  43
39.59  16
43.84  44
56.79  15
65.53  20
71.62  14

Atomic structure:
```
18
Lattice="6.439 0.000 0.000 0.000 6.439 0.000 0.000 0.000 9.809" Properties=species:S:1:pos:R:3 pbc="T T T"
Li 0.219 1.610 1.762
Li 1.610 0.219 6.667
Li 1.610 3.001 6.667
Li 3.001 1.610 1.762
Li 3.438 4.829 8.046
Li 4.829 3.438 3.142
Li 4.829 6.220 3.142
Li 6.220 4.829 8.046
Ho 1.610 4.829 2.452
Ho 4.829 1.610 7.356
Tl 0.080 1.610 4.584
Tl 1.610 0.080 9.488
Tl 1.610 3.139 9.488
Tl 3.139 1.610 4.584
Tl 3.299 4.829 5.225
Tl 4.829 3.299 0.321
Tl 4.829 6.359 0.321
Tl 6.359 4.829 5.225
```



Record 7
Computed PXRD pattern of PaI4Cl for Cu Ka, from a crystal structure in Alexandria, relaxed with PBE.
Neutral-atom scattering factors, no anomalous dispersion.

Most intense lines, 2θ from 10° to 90°, in order of rising 2θ:
Position (°2θ)  I_rel
11.45  51
18.29  100
24.54  26
25.78  55
33.09  21
36.78  23
37.79  45
42.41  29
44.71  17
50.30  19

Atomic structure:
```
6
Lattice="-5.464 5.464 2.707 5.464 -5.464 2.707 5.464 5.464 -2.707" Properties=species:S:1:pos:R:3 pbc="T T T"
Pa 0.000 0.000 0.000
I 2.797 0.761 0.000
I 4.703 -2.667 2.707
I 0.761 8.131 0.000
I 2.667 4.703 2.707
Cl 0.000 0.000 2.707
```



Record 8
Computed PXRD pattern of DyMgGa2Rh2 for Cu Ka, from a crystal structure in Alexandria, relaxed with PBE.
Neutral-atom scattering factors, no anomalous dispersion.

Most intense lines, 2θ from 10° to 90°, in order of rising 2θ:
Position (°2θ)  I_rel
27.38  74
36.32  100
41.12  16
41.74  89
50.64  14
56.50  27
60.03  32
72.65  26
76.20  15
76.70  12

Atomic structure:
```
6
Lattice="4.328 0.000 0.000 -2.164 3.748 0.000 0.000 0.000 6.585" Properties=species:S:1:pos:R:3 pbc="T T T"
Dy 0.000 0.000 0.000
Mg 0.000 0.000 3.293
Ga 0.000 2.499 1.770
Ga 2.164 1.249 4.815
Rh 0.000 2.499 4.383
Rh 2.164 1.249 2.202
```



Record 9
Computed PXRD pattern of In2SnTe3 for Cu Ka, from a crystal structure in Alexandria, relaxed with PBE.
Neutral-atom scattering factors, no anomalous dispersion.

Most intense lines, 2θ from 10° to 90°, in order of rising 2θ:
Position (°2θ)  I_rel
12.48  67
23.81  100
29.95  35
30.47  68
31.29  28
32.43  80
36.85  41
41.06  41
42.38  37
51.99  25

Atomic structure:
```
12
Lattice="8.141 0.000 0.000 0.000 4.396 0.000 -0.876 0.000 12.911" Properties=species:S:1:pos:R:3 pbc="T T T"
In 0.558 1.099 5.669
In 2.148 3.297 11.935
In 5.118 1.099 0.976
In 6.707 3.297 7.242
Sn 1.593 1.099 8.660
Sn 5.672 3.297 4.251
Te -0.058 3.297 9.992
Te 2.480 3.297 5.688
Te 3.420 3.297 2.040
Te 3.846 1.099 10.871
Te 4.785 1.099 7.223
Te 7.324 1.099 2.919
```



Record 10
Computed PXRD pattern of BaGa2O4 for Cu Ka, from a crystal structure in Alexandria, relaxed with PBE.
Neutral-atom scattering factors, no anomalous dispersion.

Most intense lines, 2θ from 10° to 90°, in order of rising 2θ:
Position (°2θ)  I_rel
21.35  16
27.55  100
32.97  60
35.71  13
43.48  27
44.96  8
53.12  11
55.63  25
58.88  15
75.97  10

Atomic structure:
```
56
Lattice="10.866 0.000 0.000 -5.433 9.411 0.000 0.000 0.000 8.925" Properties=species:S:1:pos:R:3 pbc="T T T"
Ba 0.000 0.000 0.000
Ba 0.000 0.000 4.463
Ba -2.547 4.781 4.315
Ba -0.020 9.226 4.315
Ba 2.567 4.815 4.315
Ba 2.867 4.596 8.778
Ba 5.453 0.184 8.778
Ba 7.980 4.630 8.778
Ga -2.857 7.768 7.048
Ga -2.816 7.745 1.557
Ga 0.135 3.052 7.048
Ga 0.134 3.099 1.557
Ga 2.710 1.409 2.586
Ga 2.751 1.434 6.019
Ga 0.000 6.274 2.536
Ga 0.000 6.274 6.326
Ga 5.433 3.137 1.864
Ga 5.433 3.137 6.999
Ga 2.682 7.977 1.557
Ga 2.723 8.001 7.048
Ga 5.300 6.311 6.019
Ga 5.299 6.359 2.586
Ga 8.249 1.665 6.019
Ga 8.291 1.643 2.586
O -3.707 6.448 6.020
O -4.452 7.830 2.421
O -3.378 7.266 8.765
O 0.878 1.640 2.421
O -1.783 6.283 2.068
O 1.859 0.060 6.884
O -0.798 4.667 6.838
O 0.830 2.853 8.765
O 2.885 0.708 4.303
O 1.703 2.977 6.020
O 3.429 0.014 1.557
O -0.993 7.769 6.838
O 0.883 4.725 2.068
O 0.000 6.274 4.436
O 3.642 3.025 2.376
O 0.900 7.813 2.068
O 4.534 1.598 6.530
O 1.791 6.386 6.838
O 5.433 3.137 8.899
O 4.550 4.686 6.530
O 6.426 1.642 2.376
O 2.004 9.397 6.020
O 3.730 6.434 1.557
O 2.548 8.703 8.765
O 4.604 6.558 4.303
O 6.232 4.744 2.376
O 3.574 9.351 2.421
O 7.216 3.127 6.530
O 4.555 7.770 6.884
O 8.811 2.145 4.303
O 9.885 1.580 6.884
O 9.140 2.963 1.557
```



Record 11
Computed PXRD pattern of Y2Ho2Ir3 for Cu Ka, from a crystal structure in Alexandria, relaxed with PBE.
Neutral-atom scattering factors, no anomalous dispersion.

Most intense lines, 2θ from 10° to 90°, in order of rising 2θ:
Position (°2θ)  I_rel
11.16  41
28.54  14
37.21  100
37.52  98
39.26  13
53.87  35
66.88  18
67.49  35
67.70  17
80.06  12

Atomic structure:
```
7
Lattice="4.152 -2.397 0.000 4.152 2.397 0.000 -2.760 0.000 7.925" Properties=species:S:1:pos:R:3 pbc="T T T"
Y 0.005 0.000 2.982
Y 5.539 0.000 4.943
Ho 2.770 0.000 1.010
Ho 2.774 0.000 6.915
Ir 0.000 0.000 0.000
Ir 0.006 0.000 5.961
Ir 5.538 0.000 1.964
```



Record 12
Computed PXRD pattern of NbTl4 for Cu Ka, from a crystal structure in Alexandria, relaxed with PBE.
Neutral-atom scattering factors, no anomalous dispersion.

Most intense lines, 2θ from 10° to 90°, in order of rising 2θ:
Position (°2θ)  I_rel
16.03  6
27.95  100
32.38  84
46.45  62
55.08  47
57.75  22
67.79  10
74.84  20
77.14  28
86.15  22

Atomic structure:
```
5
Lattice="5.530 0.000 0.000 0.000 5.530 0.000 0.000 0.000 5.530" Properties=species:S:1:pos:R:3 pbc="T T T"
Nb 0.000 0.000 0.000
Tl 0.000 0.000 2.765
Tl 0.000 2.765 0.000
Tl 2.765 0.000 0.000
Tl 2.765 2.765 2.765
```